1.
Computed PXRD pattern of Ti2Nb3Si4 for λ = 1.5418 Å (Cu Kα), from DFT lattice parameters and positions (PBE).

Main lines, low angle first (10 to 80 degrees two-theta):
h k l  Position (°2θ)  I/Imax
1 1 0  19.0  60
1 1 -2  30.5  52
2 0 -2  32.9  50
2 2 -1  37.8  82
1 2 -2  38.3  40
1 1 2  38.5  100
2 2 0  38.6  88
0 3 1  42.5  51
1 3 -1  43.2  45
1 1 -3  43.3  71

Cell and atoms:
```
data_Ti2Nb3Si4
_space_group_name_H-M_alt 'P 1 21/c 1'
_space_group_IT_number 14
_cell_length_a 6.7772
_cell_length_b 6.8019
_cell_length_c 6.5809
_cell_angle_alpha 90.00
_cell_angle_beta 109.28
_cell_angle_gamma 90.00
loop_
_space_group_symop_operation_xyz
'x,y,z'
'-x,-y,-z'
'-x,y+1/2,-z+1/2'
'x,-y+1/2,z+1/2'
loop_
_atom_site_label
_atom_site_fract_x
_atom_site_fract_y
_atom_site_fract_z
Ti1 0.1855 0.1713 0.0599
Nb1 0.2503 0.6813 0.2444
Nb2 0.5000 0.0000 0.5000
Si1 0.0746 0.5278 0.8505
Si2 0.4778 0.1289 0.8691
```

2.
Computed PXRD pattern of Ti2NbSi6 for λ = 1.5418 Å (Cu Kα), from DFT lattice parameters and positions (PBE).

Main lines, low angle first (10 to 80 degrees two-theta):
h k l  Position (°2θ)  I/Imax
1 1 0  21.6  11
0 2 1  25.5  38
0 2 2  34.8  17
1 3 0  37.8  17
2 0 1  40.3  100
0 0 3  41.0  35
2 0 2  47.1  62
2 0 4  69.3  19
3 3 1  69.9  11
3 3 2  74.8  10

Cell and atoms:
```
data_Ti2NbSi6
_space_group_name_H-M_alt 'C 2 2 2'
_space_group_IT_number 21
_cell_length_a 4.7640
_cell_length_b 8.2278
_cell_length_c 6.5974
_cell_angle_alpha 90.00
_cell_angle_beta 90.00
_cell_angle_gamma 90.00
loop_
_space_group_symop_operation_xyz
'x,y,z'
'-x,-y,z'
'x,-y,-z'
'-x,y,-z'
'x+1/2,y+1/2,z'
'-x+1/2,-y+1/2,z'
'x+1/2,-y+1/2,-z'
'-x+1/2,y+1/2,-z'
loop_
_atom_site_label
_atom_site_fract_x
_atom_site_fract_y
_atom_site_fract_z
Ti1 0.2500 0.2500 0.1673
Nb1 0.0000 0.0000 0.5000
Si1 0.0000 0.3361 0.5000
Si2 0.2378 0.4189 0.8362
```

3.
Computed PXRD pattern of Nb2V4Si5 for λ = 1.5418 Å (Cu Kα), from DFT lattice parameters and positions (PBE).

Main lines, low angle first (10 to 80 degrees two-theta):
h k l  Position (°2θ)  I/Imax
0 2 0  10.8  28
1 3 0  20.0  36
2 2 0  25.9  29
1 6 1  39.2  28
3 3 0  39.3  51
2 5 1  40.4  26
1 3 2  40.6  100
2 6 0  40.7  26
3 2 1  41.4  44
2 0 2  42.6  51

Cell and atoms:
```
data_Nb2V4Si5
_space_group_name_H-M_alt 'I b a m'
_space_group_IT_number 72
_space_group_name_Hall '-I 2 2c'
_cell_length_a 7.5668
_cell_length_b 16.3861
_cell_length_c 5.1335
_cell_angle_alpha 90.00
_cell_angle_beta 90.00
_cell_angle_gamma 90.00
loop_
_atom_site_label
_atom_site_fract_x
_atom_site_fract_y
_atom_site_fract_z
Nb1 0.0000 0.1891 0.2500
V1 0.1147 0.3595 0.0000
V2 0.2490 0.0638 0.0000
Si1 0.0000 0.5000 0.2500
Si2 0.0928 0.0602 0.5000
Si3 0.1950 0.2919 0.5000
```

Copy entry 2 word for word.
Computed PXRD pattern of Ti2NbSi6 for λ = 1.5418 Å (Cu Kα), from DFT lattice parameters and positions (PBE).

Main lines, low angle first (10 to 80 degrees two-theta):
h k l  Position (°2θ)  I/Imax
1 1 0  21.6  11
0 2 1  25.5  38
0 2 2  34.8  17
1 3 0  37.8  17
2 0 1  40.3  100
0 0 3  41.0  35
2 0 2  47.1  62
2 0 4  69.3  19
3 3 1  69.9  11
3 3 2  74.8  10

Cell and atoms:
```
data_Ti2NbSi6
_space_group_name_H-M_alt 'C 2 2 2'
_space_group_IT_number 21
_cell_length_a 4.7640
_cell_length_b 8.2278
_cell_length_c 6.5974
_cell_angle_alpha 90.00
_cell_angle_beta 90.00
_cell_angle_gamma 90.00
loop_
_space_group_symop_operation_xyz
'x,y,z'
'-x,-y,z'
'x,-y,-z'
'-x,y,-z'
'x+1/2,y+1/2,z'
'-x+1/2,-y+1/2,z'
'x+1/2,-y+1/2,-z'
'-x+1/2,y+1/2,-z'
loop_
_atom_site_label
_atom_site_fract_x
_atom_site_fract_y
_atom_site_fract_z
Ti1 0.2500 0.2500 0.1673
Nb1 0.0000 0.0000 0.5000
Si1 0.0000 0.3361 0.5000
Si2 0.2378 0.4189 0.8362
```